# 1
Structure and simulated powder XRD pattern of CrH12Cl3O6 (DFT lattice parameters and positions (GGA+U); CuKα).

Atomic structure:
```
data_CrH12Cl3O6
_chemical_formula_sum 'Cr6 H72 Cl18 O36'
_cell_length_a 12.0469
_cell_length_b 12.0469
_cell_length_c 12.1225
_cell_angle_alpha 90.00
_cell_angle_beta 90.00
_cell_angle_gamma 120.00
_symmetry_space_group_name_H-M 'R -3 c'
_symmetry_Int_Tables_number 167
_symmetry_space_group_name_Hall '-R 3 2"c'
loop_
_atom_site_label
_atom_site_type_symbol
_atom_site_fract_x
_atom_site_fract_y
_atom_site_fract_z
_atom_site_occupancy
Cr1 Cr 0.0000 0.0000 0.0000 1
H1 H 0.0012 0.2062 0.0919 1
H2 H 0.0728 0.1906 0.6463 1
Cl1 Cl 0.0000 0.2712 0.7500 1
O1 O 0.0410 0.1505 0.0967 1
```

Peak list (10 most intense, 2θ from 5° to 70°, in order of rising 2θ)
hkl  2theta  I/Imax
1 1 0  14.71  58
0 1 2  16.92  55
2 0 2  22.49  45
3 0 0  25.62  44
1 1 3  26.56  100
1 2 2  26.97  93
3 2 1  38.33  41
2 3 2  40.52  33
1 3 4  43.23  55
1 5 2  51.01  26



# 2
Structure and simulated powder XRD pattern of AcHgMo2O7 (DFT lattice parameters and positions (GGA+U); CuKα).

Atomic structure:
```
data_AcHgMo2O7
_chemical_formula_sum 'Ac1 Hg1 Mo2 O7'
_cell_length_a 3.926
_cell_length_b 3.926
_cell_length_c 13.085
_cell_angle_alpha 90.00
_cell_angle_beta 90.00
_cell_angle_gamma 90.00
_symmetry_space_group_name_H-M 'P 4/m m m'
_symmetry_Int_Tables_number 123
_symmetry_space_group_name_Hall '-P 4 2'
loop_
_atom_site_label
_atom_site_type_symbol
_atom_site_fract_x
_atom_site_fract_y
_atom_site_fract_z
_atom_site_occupancy
Ac1 Ac 0.000 0.000 0.000 1
Hg1 Hg 0.000 0.000 0.500 1
Mo1 Mo 0.500 0.500 0.178 1
O1 O 0.000 0.500 0.145 1
O2 O 0.500 0.500 0.000 1
O3 O 0.500 0.500 0.308 1
```

Peak list (10 most intense, 2θ from 5° to 70°, in order of rising 2θ)
hkl  2theta  I/Imax
0 0 1  6.76  46
0 0 2  13.53  27
1 0 2  26.48  100
1 1 0  32.24  36
1 1 2  35.11  15
1 0 4  35.73  31
1 1 4  42.72  19
2 0 0  46.24  19
1 1 6  53.43  17
2 1 2  54.08  28